The following is a calculated PXRD pattern of MnV2HPb2O9. It was derived from DFT lattice parameters and positions (GGA+U), using λ = 1.5418 Å (Cu Kα).
Neutral-atom scattering factors, no anomalous dispersion.

Cell lengths 7.780, 6.380, 8.754 Å; angles 90.00, 109.92, 90.00 degrees
Positions (direct):
Mn  0.000  0.000  0.000
Mn  0.000  0.500  0.000
V  0.033  0.250  0.336
V  0.448  0.250  0.172
V  0.552  0.750  0.828
V  0.967  0.750  0.664
H  0.265  0.750  0.030
H  0.735  0.250  0.970
Pb  0.276  0.250  0.749
Pb  0.343  0.750  0.432
Pb  0.657  0.250  0.568
Pb  0.724  0.750  0.251
O  0.027  0.520  0.788
O  0.027  0.980  0.788
O  0.085  0.750  0.533
O  0.164  0.750  0.077
O  0.210  0.250  0.068
O  0.261  0.250  0.452
O  0.452  0.750  0.975
O  0.480  0.532  0.698
O  0.480  0.968  0.698
O  0.520  0.032  0.302
O  0.520  0.468  0.302
O  0.548  0.250  0.025
O  0.739  0.750  0.548
O  0.790  0.750  0.932
O  0.836  0.250  0.923
O  0.915  0.250  0.467
O  0.973  0.020  0.212
O  0.973  0.480  0.212

Largest 6 diffraction maxima, in order of rising 2θ, 15° ≤ 2θ ≤ 90°:
two_theta	d (Å)	intensity
17.59	5.042	34
26.96	3.307	100
27.97	3.190	44
30.05	2.974	37
30.64	2.918	53
31.63	2.829	71